No. 1
Tb5PrTe8: simulated X-ray powder pattern (copper Kα), based on a DFT-relaxed cell (PBE, Alexandria).
Peak positions follow from Bragg's law for the DFT cell and can differ from measured ones.

Cell and atoms:
```
data_Tb5PrTe8
_chemical_formula_sum 'Tb10 Pr2 Te16'
_cell_length_a 10.0684
_cell_length_b 10.0684
_cell_length_c 8.7828
_cell_angle_alpha 90.00
_cell_angle_beta 90.00
_cell_angle_gamma 90.00
_symmetry_space_group_name_H-M 'I -4'
_symmetry_Int_Tables_number 82
loop_
_symmetry_equiv_pos_as_xyz
'x,y,z'
'y,-x,-z'
'-x,-y,z'
'-y,x,-z'
'x+1/2,y+1/2,z+1/2'
'y+1/2,-x+1/2,-z+1/2'
'-x+1/2,-y+1/2,z+1/2'
'-y+1/2,x+1/2,-z+1/2'
loop_
_atom_site_label
_atom_site_fract_x
_atom_site_fract_y
_atom_site_fract_z
Tb1 0.0000 0.0000 0.0000
Tb2 0.2038 0.2480 0.3763
Pr1 0.0000 0.5000 0.7500
Te1 0.0494 0.3054 0.0771
Te2 0.0517 0.1864 0.6750
```

Principal peaks in the range 2θ from 5° to 70°, sorted by position:
- 26.94 deg, 3.309 Å, rel. 398, hkl 2 0 2
- 28.02 deg, 3.184 Å, rel. 322, hkl 3 1 0
- 28.47 deg, 3.135 Å, rel. 981, hkl 3 0 1
- 31.83 deg, 2.811 Å, rel. 488, hkl 1 0 3
- 34.80 deg, 2.578 Å, rel. 1000, hkl 1 3 2
- 46.25 deg, 1.963 Å, rel. 576, hkl 4 3 1


No. 2
Tb3Pr5Te8: simulated X-ray powder pattern (copper Kα), based on a DFT-relaxed cell (PBE, Alexandria).
Peak positions follow from Bragg's law for the DFT cell and can differ from measured ones.

Cell and atoms:
```
data_Tb3Pr5Te8
_chemical_formula_sum 'Tb9 Pr15 Te24'
_cell_length_a 8.8970
_cell_length_b 8.8970
_cell_length_c 22.1744
_cell_angle_alpha 90.00
_cell_angle_beta 90.00
_cell_angle_gamma 120.00
_symmetry_space_group_name_H-M 'R -3 m'
_symmetry_Int_Tables_number 166
_symmetry_space_group_name_Hall '-R 3 2"'
loop_
_atom_site_label
_atom_site_fract_x
_atom_site_fract_y
_atom_site_fract_z
Tb1 0.0000 0.5000 0.0000
Pr1 0.0000 0.0000 0.0000
Pr2 0.0000 0.0000 0.5000
Pr3 0.0000 0.5000 0.5000
Te1 0.0000 0.0000 0.2545
Te2 0.0061 0.5030 0.2531
```

Principal peaks in the range 2θ from 5° to 70°, sorted by position:
- 28.21 deg, 3.164 Å, rel. 1000, hkl 0 2 4
- 40.08 deg, 2.250 Å, rel. 385, hkl 2 0 8
- 40.56 deg, 2.224 Å, rel. 376, hkl 2 2 0
- 50.14 deg, 1.820 Å, rel. 203, hkl 4 0 4
- 65.69 deg, 1.421 Å, rel. 174, hkl 2 2 12
- 66.38 deg, 1.408 Å, rel. 173, hkl 2 4 4


No. 3
Tb8PrTe2: simulated X-ray powder pattern (copper Kα), based on a DFT-relaxed cell (PBE, Alexandria).
Peak positions follow from Bragg's law for the DFT cell and can differ from measured ones.

Cell and atoms:
```
data_Tb8PrTe2
_chemical_formula_sum 'Tb16 Pr2 Te4'
_cell_length_a 17.8296
_cell_length_b 6.5286
_cell_length_c 6.1341
_cell_angle_alpha 90.00
_cell_angle_beta 107.04
_cell_angle_gamma 90.00
_symmetry_space_group_name_H-M 'C 1 2/m 1'
_symmetry_Int_Tables_number 12
loop_
_symmetry_equiv_pos_as_xyz
'x,y,z'
'-x,-y,-z'
'-x,y,-z'
'x,-y,z'
'x+1/2,y+1/2,z'
'-x+1/2,-y+1/2,-z'
'-x+1/2,y+1/2,-z'
'x+1/2,-y+1/2,z'
loop_
_atom_site_label
_atom_site_fract_x
_atom_site_fract_y
_atom_site_fract_z
Tb1 0.0799 0.0000 0.4296
Tb2 0.1016 0.2508 0.9876
Tb3 0.2134 0.5000 0.6258
Pr1 0.0000 0.5000 0.5000
Te1 0.2355 0.0000 0.8216
```

Principal peaks in the range 2θ from 5° to 70°, sorted by position:
- 29.54 deg, 3.024 Å, rel. 582, hkl 5 1 -1
- 31.36 deg, 2.852 Å, rel. 1000, hkl 0 2 1
- 31.53 deg, 2.837 Å, rel. 719, hkl 4 0 -2
- 34.60 deg, 2.592 Å, rel. 606, hkl 4 2 0
- 35.30 deg, 2.543 Å, rel. 624, hkl 4 2 -1
- 36.78 deg, 2.444 Å, rel. 519, hkl 5 1 -2


No. 4
Tb2Pr2Te3: simulated X-ray powder pattern (copper Kα), based on a DFT-relaxed cell (PBE, Alexandria).
Peak positions follow from Bragg's law for the DFT cell and can differ from measured ones.

Cell and atoms:
```
data_Tb2Pr2Te3
_chemical_formula_sum 'Tb8 Pr8 Te12'
_cell_length_a 9.3391
_cell_length_b 9.3391
_cell_length_c 9.3391
_cell_angle_alpha 90.00
_cell_angle_beta 90.00
_cell_angle_gamma 90.00
_symmetry_space_group_name_H-M 'I 21 3'
_symmetry_Int_Tables_number 199
_symmetry_space_group_name_Hall 'I 2b 2c 3'
loop_
_atom_site_label
_atom_site_fract_x
_atom_site_fract_y
_atom_site_fract_z
Tb1 0.0694 0.4306 0.5694
Pr1 0.1750 0.1750 0.1750
Te1 0.0000 0.2500 0.8671
```

Principal peaks in the range 2θ from 5° to 70°, sorted by position:
- 30.26 deg, 2.953 Å, rel. 1000, hkl 3 0 1
- 35.98 deg, 2.496 Å, rel. 686, hkl 3 1 2
- 47.71 deg, 1.906 Å, rel. 176, hkl 4 2 2
- 49.78 deg, 1.832 Å, rel. 226, hkl 4 3 1
- 61.18 deg, 1.515 Å, rel. 255, hkl 6 1 1
- 64.68 deg, 1.441 Å, rel. 148, hkl 5 4 1


Repeat the third record exactly.
Tb8PrTe2: simulated X-ray powder pattern (copper Kα), based on a DFT-relaxed cell (PBE, Alexandria).
Peak positions follow from Bragg's law for the DFT cell and can differ from measured ones.

Cell and atoms:
```
data_Tb8PrTe2
_chemical_formula_sum 'Tb16 Pr2 Te4'
_cell_length_a 17.8296
_cell_length_b 6.5286
_cell_length_c 6.1341
_cell_angle_alpha 90.00
_cell_angle_beta 107.04
_cell_angle_gamma 90.00
_symmetry_space_group_name_H-M 'C 1 2/m 1'
_symmetry_Int_Tables_number 12
loop_
_symmetry_equiv_pos_as_xyz
'x,y,z'
'-x,-y,-z'
'-x,y,-z'
'x,-y,z'
'x+1/2,y+1/2,z'
'-x+1/2,-y+1/2,-z'
'-x+1/2,y+1/2,-z'
'x+1/2,-y+1/2,z'
loop_
_atom_site_label
_atom_site_fract_x
_atom_site_fract_y
_atom_site_fract_z
Tb1 0.0799 0.0000 0.4296
Tb2 0.1016 0.2508 0.9876
Tb3 0.2134 0.5000 0.6258
Pr1 0.0000 0.5000 0.5000
Te1 0.2355 0.0000 0.8216
```

Principal peaks in the range 2θ from 5° to 70°, sorted by position:
- 29.54 deg, 3.024 Å, rel. 582, hkl 5 1 -1
- 31.36 deg, 2.852 Å, rel. 1000, hkl 0 2 1
- 31.53 deg, 2.837 Å, rel. 719, hkl 4 0 -2
- 34.60 deg, 2.592 Å, rel. 606, hkl 4 2 0
- 35.30 deg, 2.543 Å, rel. 624, hkl 4 2 -1
- 36.78 deg, 2.444 Å, rel. 519, hkl 5 1 -2